No. 1
Theoretical X-ray diffraction stick pattern of Ca3BCNCl2 for copper Kα, from a structure optimized by DFT (GGA-PBE).
Peak positions follow from Bragg's law for the DFT cell and can differ from measured ones.

Cell and atoms:
```
Ca3BCNCl2
1.0
14.1283 0.0000 0.0000
0.0000 3.8467 0.0000
0.0000 0.0000 11.1748
Ca B C N Cl
12 4 4 4 8
Direct
0.0980 0.2500 0.1431 Ca
0.1355 0.7500 0.4307 Ca
0.1922 0.7500 0.7979 Ca
0.3078 0.2500 0.2979 Ca
0.3645 0.2500 0.9307 Ca
0.4020 0.7500 0.6431 Ca
0.5980 0.2500 0.3569 Ca
0.6355 0.7500 0.0693 Ca
0.6922 0.7500 0.7021 Ca
0.8078 0.2500 0.2021 Ca
0.8645 0.2500 0.5693 Ca
0.9020 0.7500 0.8569 Ca
0.2420 0.7500 0.0978 B
0.2580 0.2500 0.5978 B
0.7420 0.7500 0.4022 B
0.7580 0.2500 0.9022 B
0.2015 0.7500 0.2173 C
0.2985 0.2500 0.7173 C
0.7015 0.7500 0.2827 C
0.7985 0.2500 0.7827 C
0.2254 0.2500 0.4834 N
0.2746 0.7500 0.9834 N
0.7254 0.2500 0.0166 N
0.7746 0.7500 0.5166 N
0.0129 0.7500 0.6406 Cl
0.0600 0.2500 0.8956 Cl
0.4400 0.7500 0.3956 Cl
0.4871 0.2500 0.1406 Cl
0.5129 0.7500 0.8594 Cl
0.5600 0.2500 0.6044 Cl
0.9400 0.7500 0.1044 Cl
0.9871 0.2500 0.3594 Cl
```

Top 10 peaks for 15 to 90 degrees two-theta, low angle first:
d 3.637, I 19
d 2.922, I 35
d 2.879, I 100
d 2.629, I 74
d 2.600, I 67
d 2.327, I 17
d 2.304, I 17
d 1.923, I 33
d 1.915, I 19
d 1.890, I 19


No. 2
Theoretical X-ray diffraction stick pattern of Ca4MgB4H6C2O18 for copper Kα, from a structure optimized by DFT (GGA-PBE).
Peak positions follow from Bragg's law for the DFT cell and can differ from measured ones.

Cell and atoms:
```
Ca4MgB4H6C2O18
1.0
8.9187 -4.3318 0.0000
8.9187 4.3318 0.0000
-0.8955 0.0000 4.4340
Ca Mg B H C O
4 1 4 6 2 18
Direct
0.0754 0.6130 0.8506 Ca
0.3870 0.9246 0.1494 Ca
0.6130 0.0754 0.8506 Ca
0.9246 0.3870 0.1494 Ca
0.0000 0.0000 0.0000 Mg
0.0966 0.0966 0.6145 B
0.2269 0.7731 0.5000 B
0.7731 0.2269 0.5000 B
0.9034 0.9034 0.3855 B
0.2137 0.2137 0.6899 H
0.3860 0.5936 0.7847 H
0.4064 0.6140 0.2153 H
0.5936 0.3860 0.7847 H
0.6140 0.4064 0.2153 H
0.7863 0.7863 0.3101 H
0.3055 0.3055 0.2457 C
0.6945 0.6945 0.7543 C
0.0818 0.8075 0.2813 O
0.1008 0.1008 0.3068 O
0.1529 0.4157 0.3455 O
0.1752 0.1752 0.8168 O
0.1925 0.9182 0.7187 O
0.2784 0.6298 0.6687 O
0.3456 0.3456 0.0357 O
0.3702 0.7216 0.3313 O
0.4157 0.1529 0.3455 O
0.5843 0.8471 0.6545 O
0.6298 0.2784 0.6687 O
0.6544 0.6544 0.9643 O
0.7216 0.3702 0.3313 O
0.8075 0.0818 0.2813 O
0.8248 0.8248 0.1832 O
0.8471 0.5843 0.6545 O
0.8992 0.8992 0.6932 O
0.9182 0.1925 0.7187 O
```

Top 10 peaks for 15 to 90 degrees two-theta, low angle first:
d 3.672, I 29
d 2.914, I 30
d 2.801, I 92
d 2.711, I 100
d 2.416, I 32
d 2.326, I 52
d 2.240, I 49
d 2.099, I 22
d 1.738, I 31
d 1.621, I 23